Calculated powder XRD pattern of AcGeN3 for Cu Ka, from a crystal structure in Alexandria, relaxed with GGA-PBE.
Peak positions follow from Bragg's law for the DFT cell and can differ from measured ones.

Top 6 peaks for 2θ = 10–90°, in order of rising 2θ:
d [Å], intensity
6.741, 57
3.404, 100
3.249, 39
3.021, 98
2.932, 74
2.497, 54

Structural model:
a b c (Å): 3.3475 6.8079 6.9455
angles (deg): 90.00 103.92 90.00
Sites, in units of the cell vectors:
1 Ac 0.1936 0.2500 0.3900
2 Ac 0.8064 0.7500 0.6100
3 Ge 0.0490 0.7500 0.0923
4 Ge 0.9510 0.2500 0.9077
5 N 0.1756 0.6329 0.3482
6 N 0.1756 0.8671 0.3482
7 N 0.4764 0.7500 0.9471
8 N 0.5236 0.2500 0.0529
9 N 0.8244 0.1329 0.6518
10 N 0.8244 0.3671 0.6518

Calculated powder XRD pattern of Ac8Ge3N2 for Cu Ka, from a crystal structure in Alexandria, relaxed with GGA-PBE.
Peak positions follow from Bragg's law for the DFT cell and can differ from measured ones.

Top 6 peaks for 2θ = 10–90°, in order of rising 2θ:
d [Å], intensity
3.464, 26
3.152, 100
2.932, 50
2.904, 34
1.986, 26
1.869, 35

Structural model:
a b c (Å): 10.1797 10.1797 10.1797
angles (deg): 43.09 43.09 43.09
Sites, in units of the cell vectors:
1 Ac 0.1876 0.1876 0.1876
2 Ac 0.2331 0.2331 0.7261
3 Ac 0.2331 0.7261 0.2331
4 Ac 0.2739 0.7669 0.7669
5 Ac 0.7261 0.2331 0.2331
6 Ac 0.7669 0.2739 0.7669
7 Ac 0.7669 0.7669 0.2739
8 Ac 0.8124 0.8124 0.8124
9 Ge 0.3020 0.3020 0.3020
10 Ge 0.5000 0.5000 0.5000
11 Ge 0.6980 0.6980 0.6980
12 N 0.1010 0.1010 0.1010
13 N 0.8990 0.8990 0.8990

Calculated powder XRD pattern of Ac2Ni2Ge2N for Cu Ka, from a crystal structure in Alexandria, relaxed with GGA-PBE.
Peak positions follow from Bragg's law for the DFT cell and can differ from measured ones.

Top 6 peaks for 2θ = 10–90°, in order of rising 2θ:
d [Å], intensity
3.792, 95
2.880, 73
2.785, 97
2.649, 100
2.593, 99
2.477, 90

Structural model:
a b c (Å): 11.4701 4.1570 7.2610
angles (deg): 90.00 126.24 90.00
Sites, in units of the cell vectors:
1 Ac 0.0508 0.0000 0.3148
2 Ac 0.4492 0.5000 0.6852
3 Ac 0.5508 0.5000 0.3148
4 Ac 0.9492 0.0000 0.6852
5 Ni 0.1902 0.5000 0.7667
6 Ni 0.3098 0.0000 0.2333
7 Ni 0.6902 0.0000 0.7667
8 Ni 0.8098 0.5000 0.2333
9 Ge 0.1868 0.5000 0.1058
10 Ge 0.3132 0.0000 0.8942
11 Ge 0.6868 0.0000 0.1058
12 Ge 0.8132 0.5000 0.8942
13 N 0.0000 0.5000 0.5000
14 N 0.5000 0.0000 0.5000

Calculated powder XRD pattern of Ac5Ge2PN for Cu Ka, from a crystal structure in Alexandria, relaxed with GGA-PBE.
Peak positions follow from Bragg's law for the DFT cell and can differ from measured ones.

Top 6 peaks for 2θ = 10–90°, in order of rising 2θ:
d [Å], intensity
3.670, 36
3.215, 68
3.113, 100
3.062, 30
2.656, 33
2.265, 25

Structural model:
a b c (Å): 9.7115 9.7115 13.1992
angles (deg): 90.00 90.00 153.03
Sites, in units of the cell vectors:
1 Ac 0.0027 0.9973 0.5000
2 Ac 0.1424 0.8576 0.7284
3 Ac 0.1771 0.8229 0.0921
4 Ac 0.2068 0.7932 0.4040
5 Ac 0.4609 0.5391 0.7459
6 Ac 0.5391 0.4609 0.2459
7 Ac 0.7932 0.2068 0.9040
8 Ac 0.8229 0.1771 0.5921
9 Ac 0.8576 0.1424 0.2284
10 Ac 0.9973 0.0027 0.0000
11 Ge 0.3746 0.6254 0.0454
12 Ge 0.3853 0.6147 0.4095
13 Ge 0.6147 0.3853 0.9095
14 Ge 0.6254 0.3746 0.5454
15 P 0.2987 0.7013 0.7447
16 P 0.7013 0.2987 0.2447
17 N 0.0469 0.9531 0.1650
18 N 0.9531 0.0469 0.6650

Calculated powder XRD pattern of Ac4GeSbN for Cu Ka, from a crystal structure in Alexandria, relaxed with GGA-PBE.
Peak positions follow from Bragg's law for the DFT cell and can differ from measured ones.

Top 6 peaks for 2θ = 10–90°, in order of rising 2θ:
d [Å], intensity
3.323, 76
3.310, 76
2.966, 46
2.786, 100
2.527, 85
1.924, 55

Structural model:
a b c (Å): 9.5922 9.5922 7.1316
angles (deg): 90.00 90.00 136.14
Sites, in units of the cell vectors:
1 Ac 0.0000 0.5000 0.0000
2 Ac 0.0000 0.5000 0.5000
3 Ac 0.0652 0.9348 0.7500
4 Ac 0.4190 0.5810 0.7500
5 Ac 0.5000 0.0000 0.0000
6 Ac 0.5000 0.0000 0.5000
7 Ac 0.5810 0.4190 0.2500
8 Ac 0.9348 0.0652 0.2500
9 Ge 0.1171 0.8829 0.2500
10 Ge 0.8829 0.1171 0.7500
11 Sb 0.3883 0.6117 0.2500
12 Sb 0.6117 0.3883 0.7500
13 N 0.2797 0.7203 0.7500
14 N 0.7203 0.2797 0.2500

Calculated powder XRD pattern of SrAcGeN3 for Cu Ka, from a crystal structure in Alexandria, relaxed with GGA-PBE.
Peak positions follow from Bragg's law for the DFT cell and can differ from measured ones.

Top 6 peaks for 2θ = 10–90°, in order of rising 2θ:
d [Å], intensity
7.200, 36
2.991, 80
2.829, 40
2.816, 41
2.795, 100
1.680, 42

Structural model:
a b c (Å): 7.0145 7.0145 7.5115
angles (deg): 105.78 105.78 34.70
Sites, in units of the cell vectors:
1 Sr 0.1463 0.1463 0.0699
2 Sr 0.8537 0.8537 0.9301
3 Ac 0.1497 0.1497 0.5806
4 Ac 0.8503 0.8503 0.4194
5 Ge 0.4992 0.4992 0.7517
6 Ge 0.5008 0.5008 0.2483
7 N 0.0021 0.0021 0.2620
8 N 0.3501 0.3501 0.6743
9 N 0.3529 0.3529 0.1807
10 N 0.6471 0.6471 0.8193
11 N 0.6499 0.6499 0.3257
12 N 0.9979 0.9979 0.7380

Calculated powder XRD pattern of Ac3TbGe2N6 for Cu Ka, from a crystal structure in Alexandria, relaxed with GGA-PBE.
Peak positions follow from Bragg's law for the DFT cell and can differ from measured ones.

Top 6 peaks for 2θ = 10–90°, in order of rising 2θ:
d [Å], intensity
4.157, 23
3.054, 100
2.837, 77
2.078, 39
1.763, 21
1.718, 36

Structural model:
a b c (Å): 6.1084 6.1084 6.7208
angles (deg): 90.00 90.00 120.00
Sites, in units of the cell vectors:
1 Ac 0.0000 0.0000 0.0000
2 Ac 0.3333 0.6667 0.6347
3 Ac 0.6667 0.3333 0.3653
4 Tb 0.0000 0.0000 0.5000
5 Ge 0.3333 0.6667 0.1744
6 Ge 0.6667 0.3333 0.8256
7 N 0.1742 0.3484 0.2935
8 N 0.1742 0.8258 0.2935
9 N 0.3484 0.1742 0.7065
10 N 0.6516 0.8258 0.2935
11 N 0.8258 0.1742 0.7065
12 N 0.8258 0.6516 0.7065

Calculated powder XRD pattern of AcTc2Ge2N for Cu Ka, from a crystal structure in Alexandria, relaxed with GGA-PBE.
Peak positions follow from Bragg's law for the DFT cell and can differ from measured ones.

Top 6 peaks for 2θ = 10–90°, in order of rising 2θ:
d [Å], intensity
3.397, 34
2.649, 100
2.362, 56
2.116, 49
1.576, 32
1.303, 22

Structural model:
a b c (Å): 4.2321 4.2321 5.6936
angles (deg): 90.00 90.00 90.00
Sites, in units of the cell vectors:
1 Ac 0.0000 0.0000 0.0000
2 Tc 0.0000 0.5000 0.5000
3 Tc 0.5000 0.0000 0.5000
4 Ge 0.5000 0.5000 0.2268
5 Ge 0.5000 0.5000 0.7732
6 N 0.0000 0.0000 0.5000